Simulated powder X-ray diffraction pattern
Compound: MnFe2
Radiation: CuKα
Structure: a crystal structure in Alexandria, relaxed with PBE

Atomic structure:
```
data_MnFe2
_cell_length_a 8.933
_cell_length_b 2.466
_cell_length_c 5.808
_cell_angle_alpha 90.00
_cell_angle_beta 103.80
_cell_angle_gamma 90.00
_space_group_name_H-M_alt 'C 1 m 1'
_space_group_IT_number 8
_space_group_name_Hall 'C -2y'
loop_
_atom_site_label
_atom_site_fract_x
_atom_site_fract_y
_atom_site_fract_z
_atom_site_occupancy
Mn1 0.000 0.000 0.000 1
Mn2 0.169 0.500 0.335 1
Fe1 0.112 0.500 0.722 1
Fe2 0.278 0.000 0.055 1
Fe3 0.334 0.000 0.667 1
Fe4 0.445 0.500 0.389 1
```

Principal peaks in the range 5 to 70 degrees two-theta, low angle first:
index  2θ (°)  intensity
2 0 2  42.18  125
1 1 1  42.29  259
4 0 -2  46.33  384
0 0 3  48.47  1000
3 1 0  48.52  495
3 1 -3  64.49  195